[1]
Calculated powder diffraction line list of LiMn6O4F8 for CuKα, from a structure optimized by DFT (PBE+U).

Top 10 peaks for 2θ from 10° to 90°, most intense first:
h k l	2θ (°)	I_rel
-1 1 1	26.37	100
1 1 1	25.20	89
0 2 -1	33.16	60
0 0 3	33.86	29
1 1 -2	33.30	25
0 2 -4	57.32	22
2 2 2	51.75	19
-1 1 4	52.03	18
1 -3 0	50.96	16
-2 2 2	54.28	14

Atomic structure:
a = 4.966 Å, b = 5.848 Å, c = 7.954 Å
α = 87.27°, β = 88.24°, γ = 88.05°
Element x y z (fractional)
1 Li 0.000 0.000 0.000
2 Mn 0.465 0.540 0.526
3 Mn 0.478 0.852 0.198
4 Mn 0.545 0.148 0.840
5 Mn 0.879 0.611 0.843
6 Mn 0.978 0.373 0.185
7 Mn 0.997 0.040 0.524
8 O 0.299 0.821 0.419
9 O 0.654 0.860 0.972
10 O 0.671 0.276 0.621
11 O 0.796 0.312 0.963
12 F 0.149 0.682 0.086
13 F 0.174 0.340 0.417
14 F 0.188 0.018 0.770
15 F 0.263 0.524 0.749
16 F 0.287 0.146 0.102
17 F 0.657 0.551 0.290
18 F 0.765 0.760 0.614
19 F 0.799 0.048 0.282


[2]
Calculated powder diffraction line list of LiMnOF2 for CuKα, from a structure optimized by DFT (PBE+U).

Top 10 peaks for 2θ from 10° to 90°, most intense first:
h k l	2θ (°)	I_rel
0 0 2	18.84	100
1 0 -1	20.80	47
1 2 -1	39.41	41
2 1 2	39.55	40
-1 1 3	39.80	37
2 1 4	52.20	27
1 1 -1	23.50	24
-1 1 5	52.85	20
1 0 1	23.27	20
0 1 0	20.51	20

Atomic structure:
a = 5.175 Å, b = 5.211 Å, c = 9.854 Å
α = 74.96°, β = 89.41°, γ = 60.33°
Element x y z (fractional)
1 Li 0.179 0.119 0.049
2 Li 0.294 0.877 0.451
3 Li 0.706 0.123 0.549
4 Li 0.821 0.881 0.951
5 Mn 0.087 0.342 0.736
6 Mn 0.391 0.676 0.764
7 Mn 0.609 0.324 0.236
8 Mn 0.913 0.658 0.264
9 O 0.084 0.712 0.644
10 O 0.126 0.968 0.852
11 O 0.874 0.032 0.148
12 O 0.916 0.288 0.356
13 F 0.218 0.429 0.130
14 F 0.319 0.549 0.364
15 F 0.368 0.087 0.616
16 F 0.431 0.249 0.881
17 F 0.569 0.751 0.119
18 F 0.632 0.913 0.384
19 F 0.681 0.451 0.636
20 F 0.782 0.571 0.870